# 1
This entry pairs a crystal structure of Sr2Ca6Ac with its theoretical X-ray diffraction stick pattern. Radiation: copper Kα. Structure: a crystal structure in Alexandria, relaxed with GGA-PBE.
Neutral-atom scattering factors, no anomalous dispersion.

Structure:
Unit cell a=3.963 b=3.963 c=29.974 alpha=90.00 beta=90.00 gamma=120.00
Sites, in units of the cell vectors:
Sr  0.000  0.000  0.173
Sr  0.000  0.000  0.827
Ca  0.000  0.000  0.393
Ca  0.000  0.000  0.607
Ca  0.667  0.333  0.061
Ca  0.667  0.333  0.286
Ca  0.667  0.333  0.714
Ca  0.667  0.333  0.939
Ac  0.667  0.333  0.500

Principal peaks in the range 10° ≤ 2θ ≤ 80°, low angle first:
2θ 26.0, I 41; 2θ 26.6, I 41; 2θ 26.8, I 42; 2θ 28.6, I 72; 2θ 30.0, I 100; 2θ 53.8, I 41

---

# 2
This entry pairs a crystal structure of Dy3As4Pd7 with its theoretical X-ray diffraction stick pattern. Radiation: copper Kα. Structure: a crystal structure in Alexandria, relaxed with GGA-PBE.
Neutral-atom scattering factors, no anomalous dispersion.

Structure:
Unit cell a=8.130 b=8.130 c=9.613 alpha=124.47 beta=124.47 gamma=29.44
Sites, in units of the cell vectors:
Dy  0.000  0.000  0.000
Dy  0.321  0.321  0.327
Dy  0.679  0.679  0.673
As  0.106  0.106  0.823
As  0.341  0.341  0.748
As  0.659  0.659  0.252
As  0.894  0.894  0.177
Pd  0.000  0.000  0.500
Pd  0.166  0.166  0.427
Pd  0.306  0.306  0.975
Pd  0.487  0.487  0.705
Pd  0.513  0.513  0.295
Pd  0.694  0.694  0.025
Pd  0.834  0.834  0.573

Principal peaks in the range 10° ≤ 2θ ≤ 80°, low angle first:
2θ 35.2, I 100; 2θ 35.5, I 35; 2θ 36.0, I 81; 2θ 38.6, I 30; 2θ 42.5, I 34; 2θ 43.8, I 59

---

# 3
This entry pairs a crystal structure of BaLiZnAu2 with its theoretical X-ray diffraction stick pattern. Radiation: copper Kα. Structure: a crystal structure in Alexandria, relaxed with GGA-PBE.
Neutral-atom scattering factors, no anomalous dispersion.

Structure:
Unit cell a=6.883 b=6.883 c=6.883 alpha=142.89 beta=142.89 gamma=53.48
Sites, in units of the cell vectors:
Ba  0.000  0.000  0.000
Li  0.750  0.250  0.500
Zn  0.250  0.750  0.500
Au  0.379  0.379  0.000
Au  0.621  0.621  0.000

Principal peaks in the range 10° ≤ 2θ ≤ 80°, low angle first:
2θ 21.5, I 39; 2θ 28.8, I 70; 2θ 29.9, I 100; 2θ 41.2, I 49; 2θ 42.1, I 50; 2θ 51.7, I 44

---

# 4
This entry pairs a crystal structure of HgH5Pd3 with its theoretical X-ray diffraction stick pattern. Radiation: copper Kα. Structure: a crystal structure in Alexandria, relaxed with GGA-PBE.
Neutral-atom scattering factors, no anomalous dispersion.

Structure:
Unit cell a=6.475 b=6.475 c=8.346 alpha=128.64 beta=128.64 gamma=50.94
Sites, in units of the cell vectors:
Hg  0.250  0.250  0.035
Hg  0.750  0.750  0.965
H  0.140  0.140  0.287
H  0.219  0.596  0.559
H  0.239  0.239  0.663
H  0.317  0.683  0.000
H  0.404  0.781  0.441
H  0.596  0.219  0.559
H  0.683  0.317  0.000
H  0.761  0.761  0.337
H  0.781  0.404  0.441
H  0.860  0.860  0.713
Pd  0.000  0.000  0.000
Pd  0.060  0.060  0.401
Pd  0.437  0.437  0.773
Pd  0.500  0.500  0.500
Pd  0.563  0.563  0.227
Pd  0.940  0.940  0.599

Principal peaks in the range 10° ≤ 2θ ≤ 80°, low angle first:
2θ 32.1, I 100; 2θ 33.3, I 45; 2θ 33.9, I 41; 2θ 41.6, I 51; 2θ 42.7, I 51; 2θ 47.4, I 44

---

# 5
This entry pairs a crystal structure of IrSe3Br9 with its theoretical X-ray diffraction stick pattern. Radiation: copper Kα. Structure: a crystal structure in Alexandria, relaxed with GGA-PBE.
Neutral-atom scattering factors, no anomalous dispersion.

Structure:
Unit cell a=8.604 b=14.424 c=16.999 alpha=90.00 beta=112.97 gamma=90.00
Sites, in units of the cell vectors:
Ir  0.236  0.243  0.168
Ir  0.236  0.257  0.668
Ir  0.764  0.743  0.332
Ir  0.764  0.757  0.832
Se  0.186  0.188  0.295
Se  0.186  0.312  0.795
Se  0.224  0.091  0.109
Se  0.224  0.409  0.609
Se  0.282  0.183  0.550
Se  0.282  0.317  0.050
Se  0.718  0.683  0.950
Se  0.718  0.817  0.450
Se  0.776  0.591  0.391
Se  0.776  0.909  0.891
Se  0.814  0.688  0.205
Se  0.814  0.812  0.705
Br  0.064  0.743  0.945
Br  0.064  0.757  0.445
Br  0.107  0.694  0.231
Br  0.107  0.806  0.731
Br  0.187  0.116  0.746
Br  0.187  0.384  0.246
Br  0.200  0.107  0.964
Br  0.200  0.393  0.464
Br  0.220  0.023  0.300
Br  0.220  0.477  0.800
Br  0.266  0.021  0.566
Br  0.266  0.479  0.066
Br  0.429  0.699  0.929
Br  0.429  0.801  0.429
Br  0.470  0.734  0.219
Br  0.470  0.766  0.719
Br  0.486  0.009  0.165
Br  0.486  0.491  0.665
Br  0.514  0.509  0.335
Br  0.514  0.991  0.835
Br  0.530  0.234  0.281
Br  0.530  0.266  0.781
Br  0.571  0.199  0.571
Br  0.571  0.301  0.071
Br  0.734  0.521  0.934
Br  0.734  0.979  0.434
Br  0.780  0.523  0.200
Br  0.780  0.977  0.700
Br  0.800  0.607  0.536
Br  0.800  0.893  0.036
Br  0.813  0.616  0.754
Br  0.813  0.884  0.254
Br  0.893  0.194  0.269
Br  0.893  0.306  0.769
Br  0.936  0.243  0.555
Br  0.936  0.257  0.055

Principal peaks in the range 10° ≤ 2θ ≤ 80°, low angle first:
2θ 12.3, I 34; 2θ 12.7, I 100; 2θ 12.9, I 49; 2θ 24.4, I 20; 2θ 31.2, I 22; 2θ 34.5, I 30

---

# 6
This entry pairs a crystal structure of Li3Mg2Ga with its theoretical X-ray diffraction stick pattern. Radiation: copper Kα. Structure: a crystal structure in Alexandria, relaxed with GGA-PBE.
Neutral-atom scattering factors, no anomalous dispersion.

Structure:
Unit cell a=10.592 b=10.592 c=7.321 alpha=90.43 beta=90.43 gamma=17.24
Sites, in units of the cell vectors:
Li  0.054  0.054  0.075
Li  0.246  0.246  0.335
Li  0.375  0.375  0.680
Li  0.625  0.625  0.320
Li  0.754  0.754  0.665
Li  0.946  0.946  0.925
Mg  0.183  0.183  0.966
Mg  0.451  0.451  0.284
Mg  0.549  0.549  0.716
Mg  0.817  0.817  0.034
Ga  0.151  0.151  0.600
Ga  0.849  0.849  0.400

Principal peaks in the range 10° ≤ 2θ ≤ 80°, low angle first:
2θ 12.1, I 52; 2θ 14.7, I 54; 2θ 14.8, I 73; 2θ 25.8, I 61; 2θ 30.9, I 100; 2θ 37.7, I 57

---

# 7
This entry pairs a crystal structure of Sr9U9O34 with its theoretical X-ray diffraction stick pattern. Radiation: copper Kα. Structure: a crystal structure in Alexandria, relaxed with GGA-PBE.
Neutral-atom scattering factors, no anomalous dispersion.

Structure:
Unit cell a=7.792 b=8.772 c=11.935 alpha=103.47 beta=90.21 gamma=99.44
Sites, in units of the cell vectors:
Sr  0.000  0.000  0.000
Sr  0.001  0.016  0.665
Sr  0.002  0.003  0.327
Sr  0.334  0.340  0.551
Sr  0.334  0.342  0.217
Sr  0.337  0.334  0.888
Sr  0.667  0.672  0.109
Sr  0.673  0.669  0.767
Sr  0.675  0.666  0.445
U  0.156  0.662  0.105
U  0.170  0.666  0.783
U  0.174  0.669  0.430
U  0.500  0.997  0.987
U  0.500  0.999  0.339
U  0.519  0.016  0.667
U  0.824  0.335  0.551
U  0.837  0.343  0.883
U  0.848  0.342  0.222
O  0.002  0.819  0.467
O  0.005  0.820  0.797
O  0.007  0.194  0.872
O  0.015  0.206  0.523
O  0.026  0.198  0.196
O  0.093  0.521  0.918
O  0.099  0.524  0.245
O  0.161  0.617  0.597
O  0.248  0.808  0.973
O  0.250  0.811  0.290
O  0.321  0.141  0.688
O  0.328  0.146  0.024
O  0.330  0.149  0.349
O  0.347  0.521  0.757
O  0.352  0.526  0.409
O  0.353  0.538  0.084
O  0.401  0.857  0.501
O  0.404  0.857  0.780
O  0.486  0.935  0.153
O  0.574  0.144  0.520
O  0.585  0.148  0.856
O  0.643  0.475  0.575
O  0.656  0.471  0.245
O  0.659  0.483  0.901
O  0.676  0.851  0.958
O  0.676  0.853  0.320
O  0.696  0.870  0.641
O  0.723  0.175  0.068
O  0.735  0.185  0.334
O  0.777  0.202  0.695
O  0.891  0.468  0.072
O  0.916  0.476  0.420
O  0.919  0.488  0.728
O  0.977  0.806  0.131

Principal peaks in the range 10° ≤ 2θ ≤ 80°, low angle first:
2θ 14.2, I 100; 2θ 27.1, I 99; 2θ 27.4, I 96; 2θ 27.6, I 94; 2θ 28.7, I 87; 2θ 31.9, I 45

---

# 8
This entry pairs a crystal structure of PmMgGe2Pt5 with its theoretical X-ray diffraction stick pattern. Radiation: copper Kα. Structure: a crystal structure in Alexandria, relaxed with GGA-PBE.
Neutral-atom scattering factors, no anomalous dispersion.

Structure:
Unit cell a=4.238 b=4.238 c=9.136 alpha=90.00 beta=90.00 gamma=90.00
Sites, in units of the cell vectors:
Pm  0.000  0.000  0.000
Mg  0.000  0.000  0.500
Ge  0.500  0.500  0.370
Ge  0.500  0.500  0.630
Pt  0.000  0.500  0.233
Pt  0.000  0.500  0.767
Pt  0.500  0.000  0.233
Pt  0.500  0.000  0.767
Pt  0.500  0.500  0.000

Principal peaks in the range 10° ≤ 2θ ≤ 80°, low angle first:
2θ 19.4, I 14; 2θ 35.8, I 100; 2θ 42.3, I 23; 2θ 42.7, I 42; 2θ 59.5, I 16; 2θ 73.7, I 25

---

# 9
This entry pairs a crystal structure of TlZn2Fe with its theoretical X-ray diffraction stick pattern. Radiation: copper Kα. Structure: a crystal structure in Alexandria, relaxed with GGA-PBE.
Neutral-atom scattering factors, no anomalous dispersion.

Structure:
Unit cell a=4.907 b=4.907 c=3.049 alpha=90.00 beta=90.00 gamma=111.72
Sites, in units of the cell vectors:
Tl  0.000  0.000  0.000
Zn  0.000  0.500  0.500
Zn  0.500  0.000  0.500
Fe  0.500  0.500  0.000

Principal peaks in the range 10° ≤ 2θ ≤ 80°, low angle first:
2θ 19.5, I 58; 2θ 36.9, I 100; 2θ 39.5, I 82; 2θ 44.3, I 59; 2θ 44.6, I 29; 2θ 64.7, I 37

---

# 10
This entry pairs a crystal structure of CsKTl2Sb2 with its theoretical X-ray diffraction stick pattern. Radiation: copper Kα. Structure: a crystal structure in Alexandria, relaxed with GGA-PBE.
Neutral-atom scattering factors, no anomalous dispersion.

Structure:
Unit cell a=5.512 b=5.512 c=8.955 alpha=90.00 beta=90.00 gamma=120.00
Sites, in units of the cell vectors:
Cs  0.000  0.000  0.000
K  0.000  0.000  0.500
Tl  0.333  0.667  0.642
Tl  0.667  0.333  0.358
Sb  0.333  0.667  0.283
Sb  0.667  0.333  0.717

Principal peaks in the range 10° ≤ 2θ ≤ 80°, low angle first:
2θ 21.1, I 54; 2θ 27.3, I 80; 2θ 32.5, I 100; 2θ 35.5, I 31; 2θ 42.9, I 24; 2θ 44.7, I 53

---

# 11
This entry pairs a crystal structure of CsRb2Ba2Br7 with its theoretical X-ray diffraction stick pattern. Radiation: copper Kα. Structure: a crystal structure in Alexandria, relaxed with GGA-PBE.
Neutral-atom scattering factors, no anomalous dispersion.

Structure:
Unit cell a=14.564 b=14.564 c=14.564 alpha=153.86 beta=37.26 gamma=153.93
Sites, in units of the cell vectors:
Cs  0.000  0.000  0.000
Rb  0.106  0.357  0.750
Rb  0.607  0.357  0.250
Ba  0.250  0.864  0.387
Ba  0.477  0.864  0.613
Br  0.127  0.856  0.270
Br  0.232  0.344  0.888
Br  0.278  0.778  0.500
Br  0.456  0.344  0.112
Br  0.586  0.856  0.730
Br  0.739  0.359  0.381
Br  0.978  0.359  0.619

Principal peaks in the range 10° ≤ 2θ ≤ 80°, low angle first:
2θ 13.8, I 43; 2θ 16.6, I 38; 2θ 25.8, I 49; 2θ 27.1, I 100; 2θ 37.8, I 58; 2θ 38.7, I 31

---

Q: Number 7 is which compound?
A: Sr9U9O34